Starting from a DFT-relaxed cell (PBE, Alexandria), the PXRD pattern of LaPm4Nd3 was simulated for copper Kα.
Intensities are scaled so that the largest is 100.

Structure:
a b c (Å): 10.412 7.346 7.348
angles (deg): 90.00 90.00 90.00
Atoms (fractional coordinates):
La (0.000, 0.000, 0.000)
La (0.500, 0.000, 0.500)
Pm (0.000, 0.000, 0.500)
Pm (0.000, 0.500, 0.000)
Pm (0.250, 0.251, 0.250)
Pm (0.250, 0.749, 0.750)
Pm (0.500, 0.000, 0.000)
Pm (0.500, 0.500, 0.500)
Pm (0.750, 0.251, 0.250)
Pm (0.750, 0.749, 0.750)
Nd (0.000, 0.500, 0.500)
Nd (0.250, 0.251, 0.750)
Nd (0.250, 0.749, 0.250)
Nd (0.500, 0.500, 0.000)
Nd (0.750, 0.251, 0.750)
Nd (0.750, 0.749, 0.250)

Main lines, by angle (5° ≤ 2θ ≤ 70°):
d [Å], Position (°2θ), intensity
3.001, 29.77, 100.0
2.599, 34.51, 50.7
1.838, 49.60, 36.4
1.568, 58.90, 29.0
1.567, 58.96, 14.4
1.501, 61.82, 12.5

=====

Starting from a DFT-relaxed cell (PBE, Alexandria), the PXRD pattern of La2PmPr2Nd was simulated for copper Kα.
Intensities are scaled so that the largest is 100.

Structure:
a b c (Å): 7.208 5.880 10.154
angles (deg): 90.00 90.00 90.00
Atoms (fractional coordinates):
La (0.000, 0.000, 0.000)
La (0.250, 0.500, 0.169)
La (0.500, 0.000, 0.000)
La (0.750, 0.500, 0.831)
Pm (0.000, 0.500, 0.500)
Pm (0.500, 0.500, 0.500)
Pr (0.250, 0.000, 0.333)
Pr (0.250, 0.500, 0.833)
Pr (0.750, 0.000, 0.667)
Pr (0.750, 0.500, 0.167)
Nd (0.250, 0.000, 0.664)
Nd (0.750, 0.000, 0.336)

Main lines, by angle (5° ≤ 2θ ≤ 70°):
d [Å], Position (°2θ), intensity
3.604, 24.70, 3.3
2.938, 30.43, 100.0
2.276, 39.60, 5.7
2.077, 43.57, 17.6
1.802, 50.66, 4.2
1.696, 54.06, 19.4
1.693, 54.16, 9.7
1.536, 60.27, 16.2
1.470, 63.26, 2.2
1.467, 63.42, 4.3

=====

Starting from a DFT-relaxed cell (PBE, Alexandria), the PXRD pattern of La2PmPrNd5 was simulated for copper Kα.
Intensities are scaled so that the largest is 100.

Structure:
a b c (Å): 10.327 10.327 10.327
angles (deg): 129.37 129.37 74.42
Atoms (fractional coordinates):
La (0.120, 0.620, 0.740)
La (0.380, 0.120, 0.500)
La (0.620, 0.880, 0.500)
La (0.880, 0.380, 0.260)
Pm (0.250, 0.250, 0.000)
Pm (0.750, 0.750, 0.000)
Pr (0.250, 0.750, 0.500)
Pr (0.750, 0.250, 0.500)
Nd (0.000, 0.000, 0.000)
Nd (0.071, 0.146, 0.500)
Nd (0.146, 0.646, 0.074)
Nd (0.354, 0.429, 0.500)
Nd (0.429, 0.929, 0.074)
Nd (0.500, 0.500, 0.000)
Nd (0.571, 0.071, 0.926)
Nd (0.646, 0.571, 0.500)
Nd (0.854, 0.354, 0.926)
Nd (0.929, 0.854, 0.500)

Main lines, by angle (5° ≤ 2θ ≤ 70°):
d [Å], Position (°2θ), intensity
3.205, 27.84, 47.2
3.123, 28.59, 51.9
3.010, 29.68, 100.0
2.793, 32.05, 12.7
2.423, 37.11, 14.6
2.329, 38.66, 10.7
2.056, 44.03, 12.6
1.780, 51.32, 24.9
1.718, 53.34, 13.7
1.695, 54.09, 11.9

=====

Starting from a DFT-relaxed cell (PBE, Alexandria), the PXRD pattern of LaPm4NdS8 was simulated for copper Kα.
Intensities are scaled so that the largest is 100.

Structure:
a b c (Å): 8.338 8.338 8.338
angles (deg): 59.90 59.90 59.90
Atoms (fractional coordinates):
La (0.000, 0.000, 0.000)
Pm (0.375, 0.375, 0.872)
Pm (0.375, 0.872, 0.375)
Pm (0.749, 0.749, 0.749)
Pm (0.872, 0.375, 0.375)
Nd (0.375, 0.375, 0.375)
S (0.133, 0.133, 0.595)
S (0.133, 0.595, 0.133)
S (0.135, 0.135, 0.135)
S (0.145, 0.619, 0.619)
S (0.595, 0.133, 0.133)
S (0.617, 0.617, 0.617)
S (0.619, 0.145, 0.619)
S (0.619, 0.619, 0.145)

Main lines, by angle (5° ≤ 2θ ≤ 70°):
d [Å], Position (°2θ), intensity
4.166, 21.33, 25.9
3.553, 25.07, 100.0
3.401, 26.20, 12.3
2.946, 30.34, 20.9
2.405, 37.39, 11.8
2.268, 39.75, 44.5
2.083, 43.45, 60.2
1.797, 50.80, 11.0
1.535, 60.29, 9.6
1.533, 60.37, 15.1

=====

Starting from a DFT-relaxed cell (PBE, Alexandria), the PXRD pattern of La4Pm2Nd2Sm was simulated for copper Kα.
Intensities are scaled so that the largest is 100.

Structure:
a b c (Å): 8.263 8.263 8.247
angles (deg): 107.53 107.53 36.97
Atoms (fractional coordinates):
La (0.055, 0.055, 0.332)
La (0.277, 0.277, 0.667)
La (0.723, 0.723, 0.333)
La (0.945, 0.945, 0.668)
Pm (0.389, 0.389, 0.331)
Pm (0.611, 0.611, 0.669)
Nd (0.167, 0.167, 0.001)
Nd (0.833, 0.833, 0.999)
Sm (0.500, 0.500, 0.000)

Main lines, by angle (5° ≤ 2θ ≤ 70°):
d [Å], Position (°2θ), intensity
3.017, 29.61, 100.0
2.616, 34.28, 33.9
2.607, 34.41, 16.8
1.849, 49.29, 24.3
1.845, 49.39, 12.1
1.579, 58.47, 14.6
1.575, 58.63, 21.7
1.572, 58.71, 7.2
1.508, 61.47, 12.5

=====

Starting from a DFT-relaxed cell (PBE, Alexandria), the PXRD pattern of LaPm2Nd3Sm6 was simulated for copper Kα.
Intensities are scaled so that the largest is 100.

Structure:
a b c (Å): 6.343 6.343 12.113
angles (deg): 95.02 95.02 120.01
Atoms (fractional coordinates):
La (0.000, 0.000, 0.000)
Pm (0.333, 0.667, 0.000)
Pm (0.667, 0.333, 0.000)
Nd (0.167, 0.833, 0.500)
Nd (0.500, 0.500, 0.500)
Nd (0.833, 0.167, 0.500)
Sm (0.084, 0.418, 0.250)
Sm (0.251, 0.251, 0.749)
Sm (0.418, 0.084, 0.250)
Sm (0.582, 0.916, 0.750)
Sm (0.749, 0.749, 0.251)
Sm (0.916, 0.582, 0.750)

Main lines, by angle (5° ≤ 2θ ≤ 70°):
d [Å], Position (°2θ), intensity
2.989, 29.89, 100.0
2.982, 29.97, 33.1
2.587, 34.68, 67.5
1.830, 49.82, 32.3
1.827, 49.91, 16.1
1.561, 59.21, 43.3
1.558, 59.31, 14.4
1.494, 62.11, 12.5
1.491, 62.28, 4.1

=====

Starting from a DFT-relaxed cell (PBE, Alexandria), the PXRD pattern of La2Pm5NdSm was simulated for copper Kα.
Intensities are scaled so that the largest is 100.

Structure:
a b c (Å): 8.827 8.827 8.211
angles (deg): 90.00 90.00 90.00
Atoms (fractional coordinates):
La (0.119, 0.381, 0.000)
La (0.381, 0.881, 0.000)
La (0.619, 0.119, 0.000)
La (0.881, 0.619, 0.000)
Pm (0.000, 0.000, 0.000)
Pm (0.216, 0.716, 0.280)
Pm (0.216, 0.716, 0.720)
Pm (0.284, 0.216, 0.280)
Pm (0.284, 0.216, 0.720)
Pm (0.500, 0.500, 0.000)
Pm (0.716, 0.784, 0.280)
Pm (0.716, 0.784, 0.720)
Pm (0.784, 0.284, 0.280)
Pm (0.784, 0.284, 0.720)
Nd (0.000, 0.000, 0.500)
Nd (0.500, 0.500, 0.500)
Sm (0.000, 0.500, 0.500)
Sm (0.500, 0.000, 0.500)

Main lines, by angle (5° ≤ 2θ ≤ 70°):
d [Å], Position (°2θ), intensity
3.558, 25.03, 17.9
3.121, 28.60, 51.7
3.006, 29.72, 100.0
2.846, 31.44, 31.3
2.791, 32.06, 10.4
2.643, 33.92, 10.6
2.448, 36.71, 10.4
2.053, 44.12, 12.1
1.779, 51.36, 26.2
1.715, 53.42, 14.3

=====

Starting from a DFT-relaxed cell (PBE, Alexandria), the PXRD pattern of La2PmNd3Sm6 was simulated for copper Kα.
Intensities are scaled so that the largest is 100.

Structure:
a b c (Å): 6.360 6.360 12.119
angles (deg): 95.04 95.04 120.02
Atoms (fractional coordinates):
La (0.167, 0.833, 0.000)
La (0.833, 0.167, 0.000)
Pm (0.500, 0.500, 0.000)
Nd (0.000, 0.000, 0.500)
Nd (0.333, 0.667, 0.500)
Nd (0.667, 0.333, 0.500)
Sm (0.084, 0.416, 0.749)
Sm (0.251, 0.251, 0.251)
Sm (0.416, 0.084, 0.749)
Sm (0.584, 0.916, 0.251)
Sm (0.749, 0.749, 0.749)
Sm (0.916, 0.584, 0.251)

Main lines, by angle (5° ≤ 2θ ≤ 70°):
d [Å], Position (°2θ), intensity
2.996, 29.82, 100.0
2.982, 29.96, 32.9
2.592, 34.61, 67.4
1.836, 49.66, 24.3
1.830, 49.84, 24.0
1.564, 59.05, 33.7
1.563, 59.12, 9.6
1.559, 59.25, 14.3
1.498, 61.94, 12.5
1.491, 62.26, 4.1

=====

Starting from a DFT-relaxed cell (PBE, Alexandria), the PXRD pattern of La2PmNdSm was simulated for copper Kα.
Intensities are scaled so that the largest is 100.

Structure:
a b c (Å): 6.465 5.966 9.872
angles (deg): 90.00 109.04 90.00
Atoms (fractional coordinates):
La (0.069, 0.250, 0.302)
La (0.136, 0.750, 0.098)
La (0.864, 0.250, 0.902)
La (0.931, 0.750, 0.698)
Pm (0.266, 0.250, 0.698)
Pm (0.734, 0.750, 0.302)
Nd (0.468, 0.250, 0.102)
Nd (0.532, 0.750, 0.898)
Sm (0.335, 0.750, 0.500)
Sm (0.665, 0.250, 0.500)

Main lines, by angle (5° ≤ 2θ ≤ 70°):
d [Å], Position (°2θ), intensity
3.232, 27.60, 23.5
2.983, 29.96, 25.3
2.842, 31.48, 100.0
2.192, 41.18, 16.0
1.866, 48.80, 19.6
1.694, 54.15, 21.6
1.582, 58.32, 22.9
1.560, 59.23, 16.4
1.491, 62.25, 3.1
1.354, 69.40, 3.4

=====

Starting from a DFT-relaxed cell (PBE, Alexandria), the PXRD pattern of La2PmNdSm2 was simulated for copper Kα.
Intensities are scaled so that the largest is 100.

Structure:
a b c (Å): 6.754 18.379 3.482
angles (deg): 90.00 90.00 90.00
Atoms (fractional coordinates):
La (0.225, 0.186, 0.000)
La (0.275, 0.686, 0.500)
La (0.725, 0.314, 0.500)
La (0.775, 0.814, 0.000)
Pm (0.000, 0.000, 0.000)
Pm (0.500, 0.500, 0.500)
Nd (0.000, 0.500, 0.000)
Nd (0.500, 0.000, 0.500)
Sm (0.222, 0.354, 0.500)
Sm (0.278, 0.854, 0.000)
Sm (0.722, 0.146, 0.000)
Sm (0.778, 0.646, 0.500)

Main lines, by angle (5° ≤ 2θ ≤ 70°):
d [Å], Position (°2θ), intensity
3.421, 26.05, 34.5
3.170, 28.15, 100.0
3.063, 29.15, 77.5
3.027, 29.51, 83.5
2.933, 30.48, 41.5
2.790, 32.08, 34.9
2.721, 32.92, 65.4
2.567, 34.96, 42.4
2.254, 40.00, 67.0
1.705, 53.78, 28.4

=====

Starting from a DFT-relaxed cell (PBE, Alexandria), the PXRD pattern of LaTbPm2Nd2 was simulated for copper Kα.
Intensities are scaled so that the largest is 100.

Structure:
a b c (Å): 7.145 5.805 10.021
angles (deg): 90.00 90.00 90.00
Atoms (fractional coordinates):
La (0.000, 0.000, 0.000)
La (0.500, 0.000, 0.000)
Tb (0.250, 0.500, 0.166)
Tb (0.750, 0.500, 0.834)
Pm (0.250, 0.000, 0.335)
Pm (0.250, 0.500, 0.831)
Pm (0.750, 0.000, 0.665)
Pm (0.750, 0.500, 0.169)
Nd (0.000, 0.500, 0.500)
Nd (0.250, 0.000, 0.668)
Nd (0.500, 0.500, 0.500)
Nd (0.750, 0.000, 0.332)

Main lines, by angle (5° ≤ 2θ ≤ 70°):
d [Å], Position (°2θ), intensity
3.572, 24.93, 6.1
2.908, 30.74, 100.0
2.895, 30.89, 54.6
2.250, 40.07, 10.4
2.053, 44.10, 26.9
1.786, 51.14, 6.7
1.676, 54.76, 18.7
1.674, 54.84, 20.4
1.520, 60.93, 23.6
1.448, 64.36, 6.6

=====

Starting from a DFT-relaxed cell (PBE, Alexandria), the PXRD pattern of La2TbPm2Nd2 was simulated for copper Kα.
Intensities are scaled so that the largest is 100.

Structure:
a b c (Å): 11.638 5.209 8.212
angles (deg): 90.00 98.19 90.00
Atoms (fractional coordinates):
La (0.143, 0.000, 0.426)
La (0.357, 0.500, 0.574)
La (0.643, 0.500, 0.426)
La (0.857, 0.000, 0.574)
Tb (0.000, 0.000, 0.000)
Tb (0.500, 0.500, 0.000)
Pm (0.215, 0.500, 0.139)
Pm (0.285, 0.000, 0.861)
Pm (0.715, 0.000, 0.139)
Pm (0.785, 0.500, 0.861)
Nd (0.070, 0.500, 0.718)
Nd (0.430, 0.000, 0.282)
Nd (0.570, 0.000, 0.718)
Nd (0.930, 0.500, 0.282)

Main lines, by angle (5° ≤ 2θ ≤ 70°):
d [Å], Position (°2θ), intensity
3.004, 29.75, 100.0
2.605, 34.43, 17.1
2.599, 34.50, 33.7
1.840, 49.54, 30.3
1.836, 49.66, 6.0
1.569, 58.84, 28.9
1.567, 58.95, 14.3
1.503, 61.72, 6.3
1.501, 61.82, 6.2